The following is a simulated powder X-ray diffraction pattern of Nb3GeTe6. It was derived from the GGA-PBE geometry in OQMD, using Cu Kα X-rays.
Intensities are scaled so that the largest is 100.

Principal peaks in the range 10 to 90 degrees two-theta, by angle:
two_theta, Rel. int.
12.23, 68
26.64, 23
27.35, 33
32.57, 100
33.14, 42
34.18, 21
36.58, 28
41.23, 37
47.89, 26
50.43, 21

Cell and atoms:
Cell lengths 6.526, 14.477, 11.690 Å; angles 90.00, 90.00, 90.00 degrees
Fractional coordinates of all 40 atoms:
Nb  0.037  0.250  0.186
Nb  0.174  0.750  0.334
Nb  0.198  0.750  0.032
Nb  0.302  0.250  0.532
Nb  0.326  0.250  0.834
Nb  0.463  0.750  0.686
Nb  0.537  0.250  0.314
Nb  0.674  0.750  0.166
Nb  0.698  0.750  0.468
Nb  0.802  0.250  0.968
Nb  0.826  0.250  0.666
Nb  0.963  0.750  0.814
Ge  0.075  0.750  0.575
Ge  0.425  0.250  0.075
Ge  0.575  0.750  0.925
Ge  0.925  0.250  0.425
Te  0.135  0.123  0.993
Te  0.135  0.377  0.993
Te  0.145  0.119  0.682
Te  0.145  0.381  0.682
Te  0.216  0.120  0.341
Te  0.216  0.380  0.341
Te  0.284  0.620  0.841
Te  0.284  0.880  0.841
Te  0.355  0.619  0.182
Te  0.355  0.881  0.182
Te  0.365  0.623  0.493
Te  0.365  0.877  0.493
Te  0.635  0.123  0.507
Te  0.635  0.377  0.507
Te  0.645  0.119  0.818
Te  0.645  0.381  0.818
Te  0.716  0.120  0.159
Te  0.716  0.380  0.159
Te  0.784  0.620  0.659
Te  0.784  0.880  0.659
Te  0.855  0.619  0.318
Te  0.855  0.881  0.318
Te  0.865  0.623  0.007
Te  0.865  0.877  0.007

---

The following is a simulated powder X-ray diffraction pattern of YNb6Ge2. It was derived from the GGA-PBE geometry in OQMD, using Cu Kα X-rays.
Intensities are scaled so that the largest is 100.

Principal peaks in the range 10 to 90 degrees two-theta, by angle:
two_theta, Rel. int.
23.72, 12
32.27, 16
37.60, 88
37.82, 100
40.62, 57
41.33, 14
45.34, 18
54.25, 21
67.97, 17
71.85, 14

Cell and atoms:
Cell lengths 4.461, 4.461, 10.386 Å; angles 103.70, 103.70, 64.92 degrees
Fractional coordinates of all 9 atoms:
Y  0.000  0.000  0.000
Nb  0.056  0.056  0.662
Nb  0.353  0.353  0.555
Nb  0.445  0.445  0.827
Nb  0.555  0.555  0.173
Nb  0.647  0.647  0.445
Nb  0.944  0.944  0.338
Ge  0.262  0.262  0.278
Ge  0.738  0.738  0.722

---

The following is a simulated powder X-ray diffraction pattern of Nd4Ge7. It was derived from the GGA-PBE geometry in OQMD, using Cu Kα X-rays.
Intensities are scaled so that the largest is 100.

Principal peaks in the range 10 to 90 degrees two-theta, by angle:
two_theta, Rel. int.
28.35, 41
32.33, 100
38.44, 46
42.41, 38
50.10, 7
50.36, 17
51.80, 9
58.56, 20
67.90, 16
71.24, 18

Cell and atoms:
Cell lengths 7.626, 7.626, 12.065 Å; angles 90.00, 90.00, 133.47 degrees
Fractional coordinates of all 22 atoms:
Nd  0.005  0.995  0.750
Nd  0.018  0.508  0.120
Nd  0.486  0.486  0.500
Nd  0.492  0.982  0.380
Nd  0.508  0.018  0.880
Nd  0.514  0.514  0.000
Nd  0.982  0.492  0.620
Nd  0.995  0.005  0.250
Ge  0.070  0.894  0.489
Ge  0.081  0.426  0.372
Ge  0.106  0.930  0.011
Ge  0.180  0.474  0.837
Ge  0.426  0.081  0.628
Ge  0.439  0.561  0.250
Ge  0.474  0.180  0.163
Ge  0.526  0.820  0.663
Ge  0.561  0.439  0.750
Ge  0.574  0.919  0.128
Ge  0.820  0.526  0.337
Ge  0.894  0.070  0.511
Ge  0.919  0.574  0.872
Ge  0.930  0.106  0.989

---

Copy entry 3 word for word.
The following is a simulated powder X-ray diffraction pattern of Nd4Ge7. It was derived from the GGA-PBE geometry in OQMD, using Cu Kα X-rays.
Intensities are scaled so that the largest is 100.

Principal peaks in the range 10 to 90 degrees two-theta, by angle:
two_theta, Rel. int.
28.35, 41
32.33, 100
38.44, 46
42.41, 38
50.10, 7
50.36, 17
51.80, 9
58.56, 20
67.90, 16
71.24, 18

Cell and atoms:
Cell lengths 7.626, 7.626, 12.065 Å; angles 90.00, 90.00, 133.47 degrees
Fractional coordinates of all 22 atoms:
Nd  0.005  0.995  0.750
Nd  0.018  0.508  0.120
Nd  0.486  0.486  0.500
Nd  0.492  0.982  0.380
Nd  0.508  0.018  0.880
Nd  0.514  0.514  0.000
Nd  0.982  0.492  0.620
Nd  0.995  0.005  0.250
Ge  0.070  0.894  0.489
Ge  0.081  0.426  0.372
Ge  0.106  0.930  0.011
Ge  0.180  0.474  0.837
Ge  0.426  0.081  0.628
Ge  0.439  0.561  0.250
Ge  0.474  0.180  0.163
Ge  0.526  0.820  0.663
Ge  0.561  0.439  0.750
Ge  0.574  0.919  0.128
Ge  0.820  0.526  0.337
Ge  0.894  0.070  0.511
Ge  0.919  0.574  0.872
Ge  0.930  0.106  0.989